# ScOsAu2
Calculated PXRD pattern, Cu Kα (λ = 1.5418 Å). Input: a crystal structure in Alexandria, relaxed with PBE.

```
ScOsAu2
1.0
5.622 0.000 0.000
0.000 7.730 0.000
0.000 0.000 3.167
Sc Os Au
2 2 4
Cartesian
0.000 0.000 0.000 Sc
2.811 3.865 0.000 Sc
0.000 3.865 0.000 Os
2.811 0.000 0.000 Os
1.406 1.932 1.583 Au
1.406 5.797 1.583 Au
4.217 1.932 1.583 Au
4.217 5.797 1.583 Au
```

Most intense lines, 2θ from 15° to 90°, by angle:
| Position (°2θ) | intensity | index |
| --- | --- | --- |
| 19.52 | 24 | 1 1 0 |
| 34.52 | 12 | 1 1 1 |
| 36.69 | 100 | 0 2 1 |
| 39.65 | 81 | 2 2 0 |
| 43.03 | 64 | 2 0 1 |
| 47.02 | 25 | 0 4 0 |
| 58.27 | 13 | 0 0 2 |
| 65.62 | 37 | 2 4 1 |
| 72.79 | 27 | 2 2 2 |
| 78.02 | 11 | 0 4 2 |
| 78.45 | 23 | 4 2 1 |
| 80.49 | 11 | 0 6 1 |